No. 1
For CdGa4Hg, a crystal structure in Alexandria, relaxed with GGA-PBE gives the computed powder diffraction line list in this record (λ = 1.5418 Å (Cu Kα)).

Structure:
Lattice parameters (Å, degrees): 3.6488 5.4382 6.4120 88.86 88.47 83.46
Fractional coordinates of all 6 atoms:
Cd1 0.0000 0.0000 0.0000
Ga1 0.0326 0.6867 0.6435
Ga2 0.4932 0.1691 0.6578
Ga3 0.5086 0.8293 0.3412
Ga4 0.9694 0.3137 0.3561
Hg1 0.5000 0.4997 0.9994

Most intense lines, 2θ from 10° to 90°, low angle first:
| 2θ/deg | Rel. int. |
| --- | --- |
| 13.82 | 39.4 |
| 27.84 | 19.4 |
| 28.04 | 18.6 |
| 31.80 | 100.0 |
| 34.17 | 86.7 |
| 35.86 | 76.2 |
| 39.27 | 62.1 |
| 42.31 | 45.7 |
| 42.57 | 45.7 |
| 44.22 | 39.2 |
| 50.36 | 27.6 |
| 54.26 | 23.9 |

=====

No. 2
For Cs3PrTe2O9, a crystal structure in Alexandria, relaxed with GGA-PBE gives the computed powder diffraction line list in this record (λ = 1.5418 Å (Cu Kα)).

Structure:
Lattice parameters (Å, degrees): 6.1390 6.1390 7.5351 90.00 90.00 120.00
Fractional coordinates of all 15 atoms:
Cs1 0.0000 0.0000 0.0000
Cs2 0.3333 0.6667 0.6685
Cs3 0.6667 0.3333 0.3315
Pr1 0.0000 0.0000 0.5000
Te1 0.3333 0.6667 0.1667
Te2 0.6667 0.3333 0.8333
O1 0.0000 0.5000 0.0000
O2 0.1828 0.3655 0.3087
O3 0.1828 0.8172 0.3087
O4 0.3655 0.1828 0.6913
O5 0.5000 0.0000 0.0000
O6 0.5000 0.5000 0.0000
O7 0.6345 0.8172 0.3087
O8 0.8172 0.1828 0.6913
O9 0.8172 0.6345 0.6913

Most intense lines, 2θ from 10° to 90°, low angle first:
| 2θ/deg | Rel. int. |
| --- | --- |
| 20.44 | 0.7 |
| 29.07 | 100.0 |
| 35.80 | 1.5 |
| 41.58 | 29.3 |
| 51.52 | 30.1 |
| 51.57 | 10.0 |
| 60.26 | 18.3 |
| 68.28 | 18.4 |
| 75.74 | 1.5 |
| 75.91 | 4.5 |
| 83.10 | 5.4 |
| 83.25 | 16.0 |

=====

No. 3
For AgCl2, a crystal structure in Alexandria, relaxed with GGA-PBE gives the computed powder diffraction line list in this record (λ = 1.5418 Å (Cu Kα)).

Structure:
Lattice parameters (Å, degrees): 3.6686 7.8022 12.3440 90.00 90.00 90.00
Fractional coordinates of all 12 atoms:
Ag1 0.0000 0.0000 0.0000
Ag2 0.0000 0.5000 0.5000
Ag3 0.5000 0.0000 0.5000
Ag4 0.5000 0.5000 0.0000
Cl1 0.0000 0.0000 0.3667
Cl2 0.0000 0.0000 0.6333
Cl3 0.0000 0.5000 0.1333
Cl4 0.0000 0.5000 0.8667
Cl5 0.5000 0.0000 0.1333
Cl6 0.5000 0.0000 0.8667
Cl7 0.5000 0.5000 0.3667
Cl8 0.5000 0.5000 0.6333

Most intense lines, 2θ from 10° to 90°, low angle first:
| 2θ/deg | Rel. int. |
| --- | --- |
| 14.35 | 81.0 |
| 22.80 | 91.1 |
| 27.04 | 36.9 |
| 27.83 | 24.8 |
| 34.72 | 100.0 |
| 45.80 | 33.1 |
| 46.56 | 11.9 |
| 48.26 | 36.6 |
| 50.13 | 10.3 |
| 55.35 | 13.6 |
| 57.25 | 16.3 |
| 69.31 | 12.7 |

=====

No. 4
For Pu3Ga9Cu2, a crystal structure in Alexandria, relaxed with GGA-PBE gives the computed powder diffraction line list in this record (λ = 1.5418 Å (Cu Kα)).

Structure:
Lattice parameters (Å, degrees): 8.1427 8.1427 8.1427 149.17 107.46 80.87
Fractional coordinates of all 14 atoms:
Pu1 0.0000 0.0000 0.0000
Pu2 0.3023 0.3023 0.0000
Pu3 0.6977 0.6977 0.0000
Ga1 0.0203 0.6548 0.3654
Ga2 0.1443 0.8633 0.2811
Ga3 0.2894 0.6548 0.6346
Ga4 0.4178 0.1367 0.2811
Ga5 0.5000 0.0000 0.5000
Ga6 0.5822 0.8633 0.7189
Ga7 0.7106 0.3452 0.3654
Ga8 0.8557 0.1367 0.7189
Ga9 0.9797 0.3452 0.6346
Cu1 0.3038 0.5000 0.8038
Cu2 0.6962 0.5000 0.1962

Most intense lines, 2θ from 10° to 90°, low angle first:
| 2θ/deg | Rel. int. |
| --- | --- |
| 22.52 | 20.6 |
| 23.42 | 15.3 |
| 29.89 | 21.1 |
| 34.41 | 15.1 |
| 34.78 | 33.7 |
| 35.35 | 100.0 |
| 36.87 | 18.8 |
| 37.78 | 12.5 |
| 41.73 | 27.5 |
| 55.85 | 12.4 |
| 69.35 | 12.6 |
| 72.03 | 11.9 |

=====

No. 5
For Pr3NdY5, a crystal structure in Alexandria, relaxed with GGA-PBE gives the computed powder diffraction line list in this record (λ = 1.5418 Å (Cu Kα)).

Structure:
Lattice parameters (Å, degrees): 9.9304 9.9304 7.1484 90.00 90.00 120.00
Fractional coordinates of all 18 atoms:
Pr1 0.0000 0.3527 0.2500
Pr2 0.0000 0.6473 0.7500
Pr3 0.3527 0.0000 0.2500
Pr4 0.3527 0.3527 0.7500
Pr5 0.6473 0.0000 0.7500
Pr6 0.6473 0.6473 0.2500
Nd1 0.0000 0.0000 0.0000
Nd2 0.0000 0.0000 0.5000
Y1 0.0000 0.3182 0.7500
Y2 0.0000 0.6818 0.2500
Y3 0.3182 0.0000 0.7500
Y4 0.3182 0.3182 0.2500
Y5 0.3333 0.6667 0.0000
Y6 0.3333 0.6667 0.5000
Y7 0.6667 0.3333 0.0000
Y8 0.6667 0.3333 0.5000
Y9 0.6818 0.0000 0.2500
Y10 0.6818 0.6818 0.7500

Most intense lines, 2θ from 10° to 90°, low angle first:
| 2θ/deg | Rel. int. |
| --- | --- |
| 30.82 | 93.4 |
| 31.20 | 100.0 |
| 40.33 | 11.9 |
| 44.43 | 32.3 |
| 51.11 | 8.6 |
| 55.29 | 32.5 |
| 55.52 | 17.2 |
| 61.11 | 28.5 |
| 65.08 | 10.0 |
| 73.73 | 12.3 |
| 78.82 | 12.1 |
| 87.18 | 9.2 |

=====

No. 6
For TbTm12Co5, a crystal structure in Alexandria, relaxed with GGA-PBE gives the computed powder diffraction line list in this record (λ = 1.5418 Å (Cu Kα)).

Structure:
Lattice parameters (Å, degrees): 8.2432 8.2432 8.2432 111.28 111.08 106.10
Fractional coordinates of all 18 atoms:
Tb1 0.0000 0.0000 0.0000
Tm1 0.1028 0.2941 0.8087
Tm2 0.1859 0.4979 0.3119
Tm3 0.1859 0.8740 0.6881
Tm4 0.3179 0.2118 0.5297
Tm5 0.3179 0.7882 0.1061
Tm6 0.4854 0.2941 0.1913
Tm7 0.5146 0.7059 0.8087
Tm8 0.6821 0.2118 0.8939
Tm9 0.6821 0.7882 0.4703
Tm10 0.8141 0.1260 0.3119
Tm11 0.8141 0.5021 0.6881
Tm12 0.8972 0.7059 0.1913
Co1 0.1269 0.5000 0.6269
Co2 0.3875 0.8875 0.5000
Co3 0.5000 0.5000 0.0000
Co4 0.6125 0.1125 0.5000
Co5 0.8731 0.5000 0.3731

Most intense lines, 2θ from 10° to 90°, low angle first:
| 2θ/deg | Rel. int. |
| --- | --- |
| 28.67 | 31.6 |
| 30.13 | 34.1 |
| 30.36 | 43.2 |
| 32.64 | 100.0 |
| 34.66 | 57.8 |
| 35.42 | 58.7 |
| 35.92 | 49.1 |
| 38.71 | 19.4 |
| 54.94 | 26.0 |
| 58.72 | 18.3 |
| 60.35 | 20.8 |
| 60.96 | 30.4 |

=====

No. 7
For Er5Cd2Au2, a crystal structure in Alexandria, relaxed with GGA-PBE gives the computed powder diffraction line list in this record (λ = 1.5418 Å (Cu Kα)).

Structure:
Lattice parameters (Å, degrees): 9.3141 9.3141 7.3741 90.00 90.00 47.21
Fractional coordinates of all 18 atoms:
Er1 0.0000 0.0000 0.0000
Er2 0.0488 0.6908 0.6735
Er3 0.1908 0.5488 0.1735
Er4 0.3092 0.9512 0.6735
Er5 0.4512 0.8092 0.1735
Er6 0.5000 0.5000 0.5000
Er7 0.5488 0.1908 0.8265
Er8 0.6908 0.0488 0.3265
Er9 0.8092 0.4512 0.8265
Er10 0.9512 0.3092 0.3265
Cd1 0.2224 0.2224 0.0000
Cd2 0.2776 0.2776 0.5000
Cd3 0.7224 0.7224 0.5000
Cd4 0.7776 0.7776 0.0000
Au1 0.1351 0.8649 0.3667
Au2 0.3649 0.6351 0.8667
Au3 0.6351 0.3649 0.1333
Au4 0.8649 0.1351 0.6333

Most intense lines, 2θ from 10° to 90°, low angle first:
| 2θ/deg | Rel. int. |
| --- | --- |
| 10.36 | 44.9 |
| 28.79 | 21.2 |
| 31.29 | 85.3 |
| 31.87 | 39.3 |
| 32.08 | 35.6 |
| 34.17 | 100.0 |
| 37.89 | 33.8 |
| 38.58 | 37.5 |
| 38.94 | 34.5 |
| 42.36 | 28.3 |
| 55.18 | 20.4 |
| 62.90 | 14.8 |

=====

No. 8
For Np4Zn, a crystal structure in Alexandria, relaxed with GGA-PBE gives the computed powder diffraction line list in this record (λ = 1.5418 Å (Cu Kα)).

Structure:
Lattice parameters (Å, degrees): 5.3201 5.3201 5.3201 90.00 90.00 90.00
Fractional coordinates of all 5 atoms:
Np1 0.0000 0.0000 0.0000
Np2 0.0000 0.5000 0.5000
Np3 0.5000 0.0000 0.5000
Np4 0.5000 0.5000 0.0000
Zn1 0.5000 0.5000 0.5000

Most intense lines, 2θ from 10° to 90°, low angle first:
| 2θ/deg | Rel. int. |
| --- | --- |
| 16.66 | 2.1 |
| 23.65 | 1.8 |
| 29.07 | 100.0 |
| 33.69 | 70.3 |
| 37.81 | 1.1 |
| 41.58 | 0.8 |
| 48.39 | 52.1 |
| 57.45 | 46.9 |
| 60.26 | 18.2 |
| 70.85 | 8.5 |
| 78.34 | 19.6 |
| 80.79 | 24.2 |

=====

No. 9
For VPCl9, a crystal structure in Alexandria, relaxed with GGA-PBE gives the computed powder diffraction line list in this record (λ = 1.5418 Å (Cu Kα)).

Structure:
Lattice parameters (Å, degrees): 10.5377 10.5377 6.4794 90.00 90.00 107.45
Fractional coordinates of all 22 atoms:
V1 0.2500 0.7500 0.9187
V2 0.7500 0.2500 0.0813
P1 0.2500 0.2500 0.5000
P2 0.7500 0.7500 0.5000
Cl1 0.0930 0.2247 0.6774
Cl2 0.0960 0.5960 0.7553
Cl3 0.1130 0.8870 0.9240
Cl4 0.2247 0.0930 0.3226
Cl5 0.2500 0.7500 0.2594
Cl6 0.2753 0.4070 0.3226
Cl7 0.3870 0.6130 0.9240
Cl8 0.4040 0.9040 0.7553
Cl9 0.4070 0.2753 0.6774
Cl10 0.5930 0.7247 0.3226
Cl11 0.5960 0.0960 0.2447
Cl12 0.6130 0.3870 0.0760
Cl13 0.7247 0.5930 0.6774
Cl14 0.7500 0.2500 0.7406
Cl15 0.7753 0.9070 0.6774
Cl16 0.8870 0.1130 0.0760
Cl17 0.9040 0.4040 0.2447
Cl18 0.9070 0.7753 0.3226

Most intense lines, 2θ from 10° to 90°, low angle first:
| 2θ/deg | Rel. int. |
| --- | --- |
| 17.21 | 47.7 |
| 17.65 | 55.9 |
| 19.76 | 76.4 |
| 20.91 | 14.6 |
| 22.03 | 20.1 |
| 28.96 | 26.7 |
| 30.02 | 100.0 |
| 31.59 | 30.1 |
| 43.55 | 15.9 |
| 47.76 | 15.8 |
| 54.79 | 14.2 |
| 61.67 | 18.3 |

=====

No. 10
For Er2AlNi2, a crystal structure in Alexandria, relaxed with GGA-PBE gives the computed powder diffraction line list in this record (λ = 1.5418 Å (Cu Kα)).

Structure:
Lattice parameters (Å, degrees): 4.1586 5.3577 8.2609 90.00 90.00 90.00
Fractional coordinates of all 10 atoms:
Er1 0.0000 0.0000 0.2021
Er2 0.0000 0.0000 0.7979
Er3 0.5000 0.5000 0.2979
Er4 0.5000 0.5000 0.7021
Al1 0.0000 0.5000 0.0000
Al2 0.5000 0.0000 0.5000
Ni1 0.0000 0.2662 0.5000
Ni2 0.0000 0.7338 0.5000
Ni3 0.5000 0.2338 0.0000
Ni4 0.5000 0.7662 0.0000

Most intense lines, 2θ from 10° to 90°, low angle first:
| 2θ/deg | Rel. int. |
| --- | --- |
| 27.14 | 82.2 |
| 33.45 | 15.0 |
| 34.90 | 100.0 |
| 36.69 | 33.3 |
| 39.24 | 48.9 |
| 40.12 | 48.5 |
| 41.56 | 40.0 |
| 43.52 | 32.8 |
| 56.02 | 22.8 |
| 58.20 | 17.7 |
| 60.69 | 42.4 |
| 70.72 | 29.8 |

=====

No. 11
For Ac6As5Cl, a crystal structure in Alexandria, relaxed with GGA-PBE gives the computed powder diffraction line list in this record (λ = 1.5418 Å (Cu Kα)).

Structure:
Lattice parameters (Å, degrees): 7.8375 7.8375 7.8264 99.61 99.61 119.94
Fractional coordinates of all 12 atoms:
Ac1 0.0698 0.4145 0.7440
Ac2 0.2407 0.2407 0.2567
Ac3 0.4145 0.0698 0.7440
Ac4 0.5855 0.9302 0.2560
Ac5 0.7593 0.7593 0.7433
Ac6 0.9302 0.5855 0.2560
As1 0.0000 0.0000 0.5000
As2 0.1671 0.8329 0.0000
As3 0.3359 0.6641 0.5000
As4 0.6641 0.3359 0.5000
As5 0.8329 0.1671 0.0000
Cl1 0.5000 0.5000 0.0000

Most intense lines, 2θ from 10° to 90°, low angle first:
| 2θ/deg | Rel. int. |
| --- | --- |
| 24.08 | 36.7 |
| 24.12 | 12.3 |
| 27.89 | 100.0 |
| 39.86 | 77.1 |
| 47.12 | 25.6 |
| 49.32 | 20.7 |
| 49.41 | 7.0 |
| 57.63 | 13.0 |
| 65.20 | 23.7 |
| 65.27 | 11.9 |
| 72.32 | 15.2 |
| 72.43 | 11.0 |

=====

No. 12
For Ca3Zn8Au3, a crystal structure in Alexandria, relaxed with GGA-PBE gives the computed powder diffraction line list in this record (λ = 1.5418 Å (Cu Kα)).

Structure:
Lattice parameters (Å, degrees): 8.4145 8.4145 8.4145 150.03 111.40 76.63
Fractional coordinates of all 14 atoms:
Ca1 0.0000 0.0000 0.0000
Ca2 0.3218 0.3218 0.0000
Ca3 0.6782 0.6782 0.0000
Zn1 0.0441 0.6812 0.3628
Zn2 0.1461 0.8711 0.2750
Zn3 0.3184 0.6812 0.6372
Zn4 0.4039 0.1289 0.2750
Zn5 0.5961 0.8711 0.7250
Zn6 0.6816 0.3188 0.3628
Zn7 0.8539 0.1289 0.7250
Zn8 0.9559 0.3188 0.6372
Au1 0.2625 0.5000 0.7625
Au2 0.5000 0.0000 0.5000
Au3 0.7375 0.5000 0.2375

Most intense lines, 2θ from 10° to 90°, low angle first:
| 2θ/deg | Rel. int. |
| --- | --- |
| 11.49 | 25.2 |
| 13.41 | 42.2 |
| 18.71 | 20.9 |
| 28.65 | 37.7 |
| 34.61 | 100.0 |
| 37.72 | 22.2 |
| 39.93 | 17.6 |
| 40.42 | 22.7 |
| 41.01 | 20.2 |
| 41.51 | 32.7 |
| 44.45 | 38.5 |
| 66.41 | 17.4 |